The following is a calculated powder diffraction line list of Hf4InSb2. It was derived from a cell relaxed with PBE, using copper Kα.
Intensities are scaled so that the largest is 100.

Largest 8 diffraction maxima, by intensity, 2θ from 10° to 90°:
d/Å	Rel. int.
2.355	100
2.735	74
2.371	73
2.803	42
2.093	38
6.289	35
2.329	28
2.540	23

Atomic structure:
a b c (Å): 7.6242 7.6242 7.6242
angles (deg): 108.64 108.64 111.14
Atoms (fractional coordinates):
1 Hf 0.1197 0.2281 0.7373
2 Hf 0.1324 0.3697 0.3916
3 Hf 0.2592 0.0219 0.3916
4 Hf 0.4908 0.3824 0.2627
5 Hf 0.6176 0.5092 0.7373
6 Hf 0.6303 0.8676 0.6084
7 Hf 0.7719 0.8803 0.2627
8 Hf 0.9781 0.7408 0.6084
9 In 0.0000 0.0000 0.0000
10 In 0.7500 0.2500 0.5000
11 Sb 0.2978 0.6250 0.1728
12 Sb 0.3750 0.7022 0.8272
13 Sb 0.4522 0.1250 0.8272
14 Sb 0.8750 0.5478 0.1728



The following is a calculated powder diffraction line list of Hf3ScIn. It was derived from a cell relaxed with PBE, using copper Kα.
Intensities are scaled so that the largest is 100.

Largest 8 diffraction maxima, by intensity, 2θ from 10° to 90°:
d/Å	Rel. int.
2.619	100
2.223	42
2.556	32
6.852	23
2.319	23
1.621	15
1.589	14
1.390	9

Atomic structure:
a b c (Å): 7.6741 3.1689 9.8728
angles (deg): 90.00 107.18 90.00
Atoms (fractional coordinates):
1 Hf 0.1409 0.2500 0.4523
2 Hf 0.2492 0.7500 0.7519
3 Hf 0.3524 0.2500 0.0357
4 Hf 0.6476 0.7500 0.9643
5 Hf 0.7508 0.2500 0.2481
6 Hf 0.8591 0.7500 0.5477
7 Sc 0.0398 0.7500 0.1538
8 Sc 0.9602 0.2500 0.8462
9 In 0.4415 0.7500 0.3432
10 In 0.5585 0.2500 0.6568



The following is a calculated powder diffraction line list of Hf2InSe6. It was derived from a cell relaxed with PBE, using copper Kα.
Intensities are scaled so that the largest is 100.

Largest 8 diffraction maxima, by intensity, 2θ from 10° to 90°:
d/Å	Rel. int.
4.536	100
2.321	91
1.880	51
2.979	49
2.268	38
3.363	37
1.140	20
1.489	19

Atomic structure:
a b c (Å): 6.4150 6.4150 11.8493
angles (deg): 90.00 90.00 90.00
Atoms (fractional coordinates):
1 Hf 0.0000 0.0000 0.1620
2 Hf 0.0000 0.0000 0.8380
3 Hf 0.5000 0.5000 0.3380
4 Hf 0.5000 0.5000 0.6620
5 In 0.0000 0.0000 0.5000
6 In 0.5000 0.5000 0.0000
7 Se 0.1946 0.1946 0.0000
8 Se 0.2026 0.2026 0.3250
9 Se 0.2026 0.2026 0.6750
10 Se 0.2974 0.7026 0.1750
11 Se 0.2974 0.7026 0.8250
12 Se 0.3054 0.6946 0.5000
13 Se 0.6946 0.3054 0.5000
14 Se 0.7026 0.2974 0.1750
15 Se 0.7026 0.2974 0.8250
16 Se 0.7974 0.7974 0.3250
17 Se 0.7974 0.7974 0.6750
18 Se 0.8054 0.8054 0.0000



The following is a calculated powder diffraction line list of HfInSi. It was derived from a cell relaxed with PBE, using copper Kα.
Intensities are scaled so that the largest is 100.

Largest 8 diffraction maxima, by intensity, 2θ from 10° to 90°:
d/Å	Rel. int.
2.428	100
3.600	86
2.485	84
2.574	57
3.060	52
2.632	42
1.938	31
2.402	28

Atomic structure:
a b c (Å): 3.5117 3.8757 9.8373
angles (deg): 90.00 99.10 90.00
Atoms (fractional coordinates):
1 Hf 0.1988 0.2500 0.3935
2 Hf 0.8012 0.7500 0.6065
3 In 0.3653 0.7500 0.8848
4 In 0.6347 0.2500 0.1152
5 Si 0.3310 0.2500 0.6714
6 Si 0.6690 0.7500 0.3286